Record 1
Calculated PXRD pattern of Th5Sn4 for Cu Kα (weighted mean of Kα1 and Kα2), from DFT lattice parameters and positions (GGA-PBE).
Peak positions follow from Bragg's law for the DFT cell and can differ from measured ones.

Cell: 9.691 9.691 6.600 Å, 90.00 90.00 120.00°
Element x y z (fractional)
1 Th 0.000 0.279 0.250
2 Th 0.000 0.721 0.750
3 Th 0.279 0.000 0.250
4 Th 0.279 0.279 0.750
5 Th 0.333 0.667 0.000
6 Th 0.333 0.667 0.500
7 Th 0.667 0.333 0.000
8 Th 0.667 0.333 0.500
9 Th 0.721 0.000 0.750
10 Th 0.721 0.721 0.250
11 Sn 0.000 0.000 0.000
12 Sn 0.000 0.000 0.500
13 Sn 0.000 0.381 0.750
14 Sn 0.000 0.619 0.250
15 Sn 0.381 0.000 0.750
16 Sn 0.381 0.381 0.250
17 Sn 0.619 0.000 0.250
18 Sn 0.619 0.619 0.750

Top 8 peaks for 2θ = 10–80°, in order of rising 2θ:
| Position (°2θ) | d [Å] | Rel. int. | index |
| --- | --- | --- | --- |
| 31.3 | 2.859 | 46 | 2 1 1 |
| 32.0 | 2.797 | 85 | 3 0 0 |
| 32.8 | 2.728 | 100 | 1 1 2 |
| 46.5 | 1.953 | 31 | 2 2 2 |
| 57.6 | 1.601 | 25 | 4 1 2 |
| 63.3 | 1.469 | 13 | 5 1 1 |
| 65.7 | 1.421 | 23 | 3 0 4 |
| 76.6 | 1.244 | 16 | 5 2 2 |

Record 2
Calculated PXRD pattern of AgBi3Au for Cu Kα (weighted mean of Kα1 and Kα2), from DFT lattice parameters and positions (GGA-PBE).
Peak positions follow from Bragg's law for the DFT cell and can differ from measured ones.

Cell: 4.160 8.760 7.600 Å, 90.00 94.81 90.00°
Element x y z (fractional)
1 Ag 0.145 0.250 0.498
2 Ag 0.855 0.750 0.502
3 Bi 0.253 0.750 0.853
4 Bi 0.343 0.536 0.298
5 Bi 0.343 0.964 0.298
6 Bi 0.657 0.036 0.702
7 Bi 0.657 0.464 0.702
8 Bi 0.747 0.250 0.147
9 Au 0.187 0.250 0.872
10 Au 0.813 0.750 0.128

Top 8 peaks for 2θ = 10–80°, in order of rising 2θ:
| Position (°2θ) | d [Å] | Rel. int. | index |
| --- | --- | --- | --- |
| 23.5 | 3.790 | 38 | 0 0 2 |
| 29.7 | 3.011 | 24 | 1 2 0 |
| 31.3 | 2.860 | 100 | 1 2 -1 |
| 32.7 | 2.741 | 41 | 1 2 1 |
| 33.4 | 2.686 | 51 | 1 0 2 |
| 40.2 | 2.243 | 33 | 1 0 -3 |
| 41.3 | 2.188 | 70 | 0 4 0 |
| 54.0 | 1.697 | 18 | 1 4 2 |

Record 3
Calculated PXRD pattern of Ba2Na2Sr2Ir for Cu Kα (weighted mean of Kα1 and Kα2), from DFT lattice parameters and positions (GGA-PBE).
Peak positions follow from Bragg's law for the DFT cell and can differ from measured ones.

Cell: 4.686 8.321 9.560 Å, 115.06 104.14 90.04°
Element x y z (fractional)
1 Ba 0.181 0.177 0.361
2 Ba 0.819 0.823 0.639
3 Na 0.124 0.619 0.250
4 Na 0.876 0.381 0.750
5 Sr 0.499 0.226 0.998
6 Sr 0.501 0.774 0.002
7 Ir 0.000 0.000 0.000

Top 8 peaks for 2θ = 10–80°, in order of rising 2θ:
| Position (°2θ) | d [Å] | Rel. int. | index |
| --- | --- | --- | --- |
| 10.6 | 8.338 | 56 | 0 0 1 |
| 11.8 | 7.485 | 100 | 0 1 0 |
| 11.9 | 7.406 | 91 | 0 1 -1 |
| 21.3 | 4.164 | 56 | 0 2 -1 |
| 21.8 | 4.083 | 83 | 1 1 -1 |
| 29.1 | 3.064 | 76 | 1 -2 0 |
| 29.3 | 3.053 | 69 | 1 2 -2 |
| 39.4 | 2.288 | 56 | 1 2 1 |

Record 4
Calculated PXRD pattern of KAlP2 for Cu Kα (weighted mean of Kα1 and Kα2), from DFT lattice parameters and positions (GGA-PBE).
Peak positions follow from Bragg's law for the DFT cell and can differ from measured ones.

Cell: 7.904 7.904 7.552 Å, 90.00 90.00 90.00°
Element x y z (fractional)
1 K 0.210 0.210 0.000
2 K 0.290 0.710 0.250
3 K 0.710 0.290 0.750
4 K 0.790 0.790 0.500
5 Al 0.171 0.171 0.500
6 Al 0.329 0.671 0.750
7 Al 0.671 0.329 0.250
8 Al 0.829 0.829 0.000
9 P 0.115 0.831 0.894
10 P 0.169 0.885 0.606
11 P 0.331 0.385 0.644
12 P 0.385 0.331 0.356
13 P 0.615 0.669 0.856
14 P 0.669 0.615 0.144
15 P 0.831 0.115 0.106
16 P 0.885 0.169 0.394

Top 8 peaks for 2θ = 10–80°, in order of rising 2θ:
| Position (°2θ) | d [Å] | Rel. int. | index |
| --- | --- | --- | --- |
| 15.9 | 5.589 | 60 | 1 1 0 |
| 22.5 | 3.952 | 100 | 2 0 0 |
| 26.2 | 3.407 | 34 | 1 0 2 |
| 27.9 | 3.201 | 50 | 2 1 1 |
| 28.5 | 3.129 | 69 | 1 1 2 |
| 35.9 | 2.499 | 35 | 3 1 0 |
| 41.8 | 2.161 | 37 | 3 0 2 |
| 55.2 | 1.665 | 44 | 2 1 4 |

Record 5
Calculated PXRD pattern of Ho4Tl5Sn for Cu Kα (weighted mean of Kα1 and Kα2), from DFT lattice parameters and positions (GGA-PBE).
Peak positions follow from Bragg's law for the DFT cell and can differ from measured ones.

Cell: 7.778 10.027 7.727 Å, 90.00 90.00 90.00°
Element x y z (fractional)
1 Ho 0.008 0.250 0.204
2 Ho 0.250 0.063 0.524
3 Ho 0.250 0.437 0.524
4 Ho 0.492 0.250 0.204
5 Ho 0.508 0.750 0.796
6 Ho 0.750 0.563 0.476
7 Ho 0.750 0.937 0.476
8 Ho 0.992 0.750 0.796
9 Tl 0.055 0.564 0.187
10 Tl 0.055 0.936 0.187
11 Tl 0.250 0.250 0.892
12 Tl 0.445 0.564 0.187
13 Tl 0.445 0.936 0.187
14 Tl 0.555 0.064 0.813
15 Tl 0.555 0.436 0.813
16 Tl 0.750 0.750 0.108
17 Tl 0.945 0.064 0.813
18 Tl 0.945 0.436 0.813
19 Sn 0.250 0.750 0.490
20 Sn 0.750 0.250 0.510

Top 8 peaks for 2θ = 10–80°, in order of rising 2θ:
| Position (°2θ) | d [Å] | Rel. int. | index |
| --- | --- | --- | --- |
| 25.6 | 3.474 | 43 | 2 0 1 |
| 29.1 | 3.068 | 71 | 0 3 1 |
| 31.4 | 2.853 | 99 | 1 3 1 |
| 32.7 | 2.741 | 84 | 2 0 2 |
| 34.8 | 2.576 | 57 | 0 0 3 |
| 37.4 | 2.407 | 100 | 2 3 1 |
| 42.7 | 2.119 | 43 | 2 3 2 |
| 54.9 | 1.672 | 38 | 0 6 0 |

Record 6
Calculated PXRD pattern of Pm2Al4CoAu3 for Cu Kα (weighted mean of Kα1 and Kα2), from DFT lattice parameters and positions (GGA-PBE).
Peak positions follow from Bragg's law for the DFT cell and can differ from measured ones.

Cell: 4.301 4.301 10.586 Å, 90.00 90.00 90.00°
Element x y z (fractional)
1 Pm 0.000 0.500 0.241
2 Pm 0.500 0.000 0.759
3 Al 0.000 0.000 0.500
4 Al 0.000 0.500 0.878
5 Al 0.500 0.000 0.122
6 Al 0.500 0.500 0.500
7 Co 0.500 0.500 0.000
8 Au 0.000 0.000 0.000
9 Au 0.000 0.500 0.638
10 Au 0.500 0.000 0.362

Top 8 peaks for 2θ = 10–80°, in order of rising 2θ:
| Position (°2θ) | d [Å] | Rel. int. | index |
| --- | --- | --- | --- |
| 26.7 | 3.338 | 63 | 1 0 2 |
| 30.6 | 2.923 | 48 | 1 1 1 |
| 32.8 | 2.728 | 74 | 1 0 3 |
| 34.0 | 2.637 | 100 | 1 1 2 |
| 42.0 | 2.151 | 70 | 2 0 0 |
| 47.9 | 1.900 | 42 | 1 0 5 |
| 54.3 | 1.689 | 36 | 2 1 3 |
| 65.6 | 1.424 | 33 | 2 1 5 |